Record 1
This entry pairs a crystal structure of Li2MnFeB2O6 with its simulated powder X-ray diffraction pattern. Radiation: Cu Kα (λ = 1.5418 Å). Structure: the PBE+U geometry in the Materials Project.

Unit cell a=8.2673 b=3.1649 c=14.2771 alpha=90.00 beta=90.03 gamma=90.00
Positions (direct):
Li1 0.0000 0.0000 0.0000
Li2 0.0250 0.0000 0.7076
Li3 0.0730 0.0000 0.3391
Li4 0.4990 0.0000 0.4992
Li5 0.5240 0.0000 0.2068
Li6 0.5721 0.0000 0.8411
Mn1 0.1727 0.5000 0.5293
Mn2 0.6727 0.5000 0.0292
Mn3 0.6908 0.5000 0.6633
Fe1 0.1889 0.5000 0.1654
Fe2 0.2274 0.5000 0.8535
Fe3 0.7294 0.5000 0.3530
B1 0.3622 0.0000 0.0156
B2 0.3638 0.0000 0.6836
B3 0.3674 0.5000 0.3489
B4 0.8645 0.0000 0.5142
B5 0.8657 0.0000 0.1835
B6 0.8663 0.5000 0.8501
O1 0.0039 0.5000 0.7933
O2 0.0171 0.0000 0.1409
O3 0.0175 0.0000 0.4733
O4 0.2147 0.5000 0.3071
O5 0.2242 0.0000 0.6297
O6 0.2264 0.0000 0.9580
O7 0.3455 0.0000 0.1128
O8 0.3531 0.0000 0.7809
O9 0.3820 0.5000 0.4458
O10 0.5058 0.5000 0.2932
O11 0.5141 0.0000 0.6401
O12 0.5160 0.0000 0.9753
O13 0.7127 0.5000 0.8099
O14 0.7263 0.0000 0.1294
O15 0.7269 0.0000 0.4582
O16 0.8506 0.0000 0.6117
O17 0.8538 0.0000 0.2807
O18 0.8837 0.5000 0.9470

Main lines, in order of rising 2θ (15° ≤ 2θ ≤ 90°):
- 2θ 21.53, I 100
- 2θ 30.90, I 17
- 2θ 33.15, I 17
- 2θ 35.75, I 80
- 2θ 37.75, I 32
- 2θ 37.97, I 10
- 2θ 43.85, I 10
- 2θ 44.06, I 10
- 2θ 47.78, I 28
- 2θ 52.97, I 25
- 2θ 54.59, I 12
- 2θ 58.31, I 11

Record 2
This entry pairs a crystal structure of Li8Mn7FeB8O24 with its simulated powder X-ray diffraction pattern. Radiation: Cu Kα (λ = 1.5418 Å). Structure: the PBE+U geometry in the Materials Project.

Unit cell a=5.2830 b=6.0605 c=17.7106 alpha=83.21 beta=81.45 gamma=66.58
Positions (direct):
Li1 0.0000 0.0000 0.0000
Li2 0.0006 0.4988 0.4995
Li3 0.3060 0.9381 0.7154
Li4 0.3071 0.4382 0.2155
Li5 0.5007 0.2487 0.7496
Li6 0.5028 0.7467 0.2488
Li7 0.8057 0.1883 0.4652
Li8 0.8070 0.6876 0.9661
Mn1 0.3566 0.1807 0.3795
Mn2 0.3570 0.6816 0.8792
Mn3 0.4464 0.0104 0.0868
Mn4 0.4501 0.5051 0.5856
Mn5 0.8567 0.9314 0.6293
Mn6 0.9503 0.2554 0.8356
Mn7 0.9503 0.7558 0.3355
Fe1 0.8519 0.4342 0.1279
B1 0.3424 0.5377 0.0497
B2 0.3437 0.0396 0.5489
B3 0.4627 0.1466 0.9165
B4 0.4627 0.6471 0.4162
B5 0.8440 0.7896 0.7989
B6 0.8459 0.2895 0.2980
B7 0.9613 0.8988 0.1661
B8 0.9628 0.3972 0.6662
O1 0.0243 0.0483 0.1062
O2 0.0256 0.5458 0.6059
O3 0.0720 0.8499 0.7997
O4 0.0737 0.3495 0.2997
O5 0.1324 0.8047 0.2238
O6 0.1328 0.3046 0.7241
O7 0.1736 0.1322 0.4910
O8 0.1768 0.6333 0.9912
O9 0.2344 0.0870 0.9153
O10 0.2344 0.5875 0.4153
O11 0.2708 0.3944 0.1101
O12 0.2811 0.8908 0.6092
O13 0.5263 0.2951 0.8563
O14 0.5263 0.7951 0.3558
O15 0.5716 0.0999 0.5497
O16 0.5779 0.5890 0.0511
O17 0.6311 0.0534 0.9746
O18 0.6326 0.5547 0.4741
O19 0.6738 0.8820 0.7411
O20 0.6806 0.3808 0.2391
O21 0.7340 0.8382 0.1650
O22 0.7350 0.3368 0.6654
O23 0.7796 0.1429 0.3584
O24 0.7813 0.6412 0.8593

Main lines, in order of rising 2θ (15° ≤ 2θ ≤ 90°):
- 2θ 20.33, I 78
- 2θ 20.62, I 20
- 2θ 22.04, I 34
- 2θ 22.51, I 59
- 2θ 30.32, I 20
- 2θ 33.24, I 100
- 2θ 33.97, I 33
- 2θ 34.15, I 25
- 2θ 34.56, I 28
- 2θ 39.95, I 26
- 2θ 40.58, I 20
- 2θ 40.71, I 34

Record 3
This entry pairs a crystal structure of Li2MnFeB2O6 with its simulated powder X-ray diffraction pattern. Radiation: Cu Kα (λ = 1.5418 Å). Structure: the PBE+U geometry in the Materials Project.

Unit cell a=8.2552 b=3.1656 c=14.2970 alpha=90.00 beta=90.02 gamma=90.00
Positions (direct):
Li1 0.0000 0.0000 0.0000
Li2 0.0252 0.0000 0.7056
Li3 0.0739 0.0000 0.3424
Li4 0.5016 0.0000 0.5001
Li5 0.5278 0.0000 0.2085
Li6 0.5743 0.0000 0.8391
Mn1 0.1928 0.5000 0.1637
Mn2 0.2328 0.5000 0.8545
Mn3 0.6758 0.5000 0.0291
Fe1 0.1794 0.5000 0.5289
Fe2 0.6914 0.5000 0.6654
Fe3 0.7307 0.5000 0.3542
B1 0.3673 0.0000 0.0160
B2 0.3670 0.5000 0.3504
B3 0.3679 0.0000 0.6815
B4 0.8660 0.0000 0.1838
B5 0.8668 0.0000 0.5161
B6 0.8676 0.5000 0.8481
O1 0.0038 0.5000 0.7910
O2 0.0163 0.0000 0.1403
O3 0.0215 0.0000 0.4771
O4 0.2141 0.5000 0.3097
O5 0.2281 0.0000 0.6272
O6 0.2284 0.0000 0.9610
O7 0.3542 0.0000 0.1130
O8 0.3563 0.0000 0.7784
O9 0.3817 0.5000 0.4474
O10 0.5058 0.5000 0.2948
O11 0.5193 0.0000 0.9739
O12 0.5196 0.0000 0.6393
O13 0.7138 0.5000 0.8077
O14 0.7263 0.0000 0.1298
O15 0.7308 0.0000 0.4582
O16 0.8479 0.0000 0.6129
O17 0.8553 0.0000 0.2808
O18 0.8846 0.5000 0.9451

Main lines, in order of rising 2θ (15° ≤ 2θ ≤ 90°):
- 2θ 21.53, I 100
- 2θ 30.89, I 17
- 2θ 33.16, I 16
- 2θ 35.75, I 80
- 2θ 37.75, I 32
- 2θ 43.87, I 15
- 2θ 44.06, I 10
- 2θ 47.77, I 28
- 2θ 52.97, I 25
- 2θ 54.62, I 18
- 2θ 58.29, I 11
- 2θ 66.86, I 13

Record 4
This entry pairs a crystal structure of Li4MnFe3B4O12 with its simulated powder X-ray diffraction pattern. Radiation: Cu Kα (λ = 1.5418 Å). Structure: the PBE+U geometry in the Materials Project.

Unit cell a=5.2533 b=6.2010 c=7.8927 alpha=78.39 beta=88.47 gamma=88.83
Positions (direct):
Li1 0.0000 0.0000 0.0000
Li2 0.1330 0.7441 0.6067
Li3 0.4983 0.5015 0.4994
Li4 0.6326 0.2438 0.1061
Mn1 0.6413 0.9621 0.4799
Fe1 0.1455 0.4602 0.9821
Fe2 0.4988 0.7850 0.1274
Fe3 0.9970 0.2858 0.6311
B1 0.1419 0.1123 0.3030
B2 0.4935 0.1358 0.8005
B3 0.6397 0.6096 0.8047
B4 0.9939 0.6333 0.2993
O1 0.0327 0.0357 0.4674
O2 0.1070 0.7133 0.1367
O3 0.1394 0.5343 0.4367
O4 0.2321 0.1686 0.8240
O5 0.4006 0.0768 0.2751
O6 0.4888 0.7094 0.6691
O7 0.5242 0.5310 0.9678
O8 0.6088 0.2173 0.6389
O9 0.6384 0.0307 0.9370
O10 0.7310 0.6645 0.3233
O11 0.8991 0.5766 0.7805
O12 0.9902 0.2140 0.1671

Main lines, in order of rising 2θ (15° ≤ 2θ ≤ 90°):
- 2θ 20.33, I 79
- 2θ 20.67, I 23
- 2θ 22.21, I 35
- 2θ 22.55, I 63
- 2θ 30.51, I 19
- 2θ 33.67, I 100
- 2θ 34.15, I 32
- 2θ 34.28, I 26
- 2θ 34.60, I 24
- 2θ 40.11, I 25
- 2θ 40.70, I 19
- 2θ 41.12, I 32

Record 5
This entry pairs a crystal structure of Li6Mn5FeB6O18 with its simulated powder X-ray diffraction pattern. Radiation: Cu Kα (λ = 1.5418 Å). Structure: the PBE+U geometry in the Materials Project.

Unit cell a=8.2658 b=6.3653 c=8.2778 alpha=90.00 beta=119.92 gamma=90.00
Positions (direct):
Li1 0.0000 0.2504 0.0000
Li2 0.0000 0.7496 0.0000
Li3 0.2669 0.2498 0.6818
Li4 0.2669 0.7502 0.6818
Li5 0.5859 0.2504 0.2674
Li6 0.5859 0.7496 0.2674
Mn1 0.2966 0.0000 0.3547
Mn2 0.2967 0.5000 0.3559
Mn3 0.6441 0.0000 0.9715
Mn4 0.6453 0.5000 0.9716
Mn5 0.9132 0.0000 0.6243
Fe1 0.9181 0.5000 0.6239
B1 0.2822 0.5000 0.9834
B2 0.2849 0.0000 0.9837
B3 0.6192 0.2513 0.6499
B4 0.6192 0.7487 0.6499
B5 0.9512 0.2518 0.3176
B6 0.9512 0.7482 0.3176
O1 0.1446 0.2499 0.4034
O2 0.1446 0.7501 0.4034
O3 0.1692 0.0000 0.0615
O4 0.1688 0.5000 0.0635
O5 0.2006 0.5000 0.7889
O6 0.2072 0.0000 0.7904
O7 0.4757 0.5000 0.0953
O8 0.4785 0.0000 0.0993
O9 0.5070 0.2505 0.4565
O10 0.5070 0.7495 0.4565
O11 0.5365 0.2503 0.7614
O12 0.5365 0.7497 0.7614
O13 0.8126 0.2525 0.7313
O14 0.8126 0.7475 0.7313
O15 0.8439 0.2501 0.1243
O16 0.8439 0.7499 0.1243
O17 0.8652 0.2541 0.4253
O18 0.8652 0.7459 0.4253

Main lines, in order of rising 2θ (15° ≤ 2θ ≤ 90°):
- 2θ 21.48, I 100
- 2θ 30.74, I 18
- 2θ 33.07, I 18
- 2θ 35.59, I 82
- 2θ 37.65, I 33
- 2θ 37.81, I 10
- 2θ 43.76, I 15
- 2θ 43.89, I 12
- 2θ 47.60, I 28
- 2θ 52.78, I 26
- 2θ 54.42, I 19
- 2θ 57.95, I 12

Record 6
This entry pairs a crystal structure of Li6Mn5FeB6O18 with its simulated powder X-ray diffraction pattern. Radiation: Cu Kα (λ = 1.5418 Å). Structure: the PBE+U geometry in the Materials Project.

Unit cell a=8.8527 b=8.8527 c=8.2734 alpha=117.74 beta=117.74 gamma=42.19
Positions (direct):
Li1 0.0900 0.5906 0.4148
Li2 0.2505 0.7495 0.0000
Li3 0.3834 0.8825 0.6815
Li4 0.5906 0.0900 0.4148
Li5 0.7495 0.2505 0.0000
Li6 0.8825 0.3834 0.6815
Mn1 0.1764 0.1764 0.0572
Mn2 0.3109 0.3109 0.7104
Mn3 0.4846 0.4846 0.3262
Mn4 0.8112 0.8112 0.7106
Mn5 0.9850 0.9850 0.3274
Fe1 0.6751 0.6751 0.0587
B1 0.0725 0.5747 0.0319
B2 0.4094 0.9057 0.3642
B3 0.4920 0.4920 0.6986
B4 0.5747 0.0725 0.0319
B5 0.9057 0.4094 0.3642
B6 0.9909 0.9909 0.6984
O1 0.0296 0.0296 0.8918
O2 0.0489 0.0489 0.6208
O3 0.1156 0.6147 0.9208
O4 0.1292 0.6297 0.2255
O5 0.3106 0.8109 0.2785
O6 0.3951 0.3951 0.5855
O7 0.4545 0.9465 0.2563
O8 0.4613 0.9613 0.5576
O9 0.4791 0.9744 0.9501
O10 0.5328 0.5328 0.8930
O11 0.5489 0.5489 0.6189
O12 0.6147 0.1156 0.9208
O13 0.6297 0.1292 0.2255
O14 0.8109 0.3106 0.2785
O15 0.8941 0.8941 0.5827
O16 0.9465 0.4545 0.2563
O17 0.9613 0.4613 0.5576
O18 0.9744 0.4791 0.9501

Main lines, in order of rising 2θ (15° ≤ 2θ ≤ 90°):
- 2θ 21.49, I 100
- 2θ 30.71, I 18
- 2θ 33.09, I 18
- 2θ 35.56, I 55
- 2θ 35.59, I 27
- 2θ 37.68, I 33
- 2θ 43.79, I 15
- 2θ 43.89, I 12
- 2θ 47.60, I 29
- 2θ 52.76, I 17
- 2θ 54.42, I 13
- 2θ 57.88, I 12

Record 7
This entry pairs a crystal structure of Li8MnFe7B8O24 with its simulated powder X-ray diffraction pattern. Radiation: Cu Kα (λ = 1.5418 Å). Structure: the PBE+U geometry in the Materials Project.

Unit cell a=5.2398 b=5.9681 c=17.7091 alpha=89.69 beta=81.99 gamma=65.71
Positions (direct):
Li1 0.0000 0.0000 0.0000
Li2 0.0429 0.9268 0.2838
Li3 0.2453 0.2522 0.2502
Li4 0.2939 0.1761 0.5330
Li5 0.4967 0.5012 0.4995
Li6 0.5414 0.4257 0.7836
Li7 0.7456 0.7549 0.7483
Li8 0.7916 0.6763 0.0349
Mn1 0.0028 0.4220 0.8697
Fe1 0.0416 0.4996 0.4111
Fe2 0.2435 0.6804 0.1217
Fe3 0.2936 0.7477 0.6610
Fe4 0.4946 0.9296 0.3717
Fe5 0.5515 0.9947 0.9138
Fe6 0.7475 0.1790 0.6213
Fe7 0.7894 0.2507 0.1616
B1 0.1329 0.8940 0.8314
B2 0.1598 0.2799 0.6997
B3 0.3786 0.1486 0.0831
B4 0.4108 0.5340 0.9522
B5 0.6299 0.3970 0.3323
B6 0.6598 0.7802 0.2015
B7 0.8805 0.6470 0.5817
B8 0.9098 0.0299 0.4510
O1 0.1019 0.5501 0.5225
O2 0.1397 0.0992 0.0845
O3 0.1466 0.1383 0.6385
O4 0.1489 0.0311 0.8935
O5 0.1509 0.0766 0.4500
O6 0.1852 0.6277 0.0108
O7 0.3544 0.7988 0.7726
O8 0.3894 0.3498 0.3336
O9 0.3935 0.2885 0.1445
O10 0.3989 0.3288 0.6989
O11 0.4020 0.3902 0.8910
O12 0.4386 0.8780 0.2605
O13 0.6011 0.0528 0.0241
O14 0.6413 0.5974 0.5837
O15 0.6427 0.6413 0.1401
O16 0.6461 0.5362 0.3938
O17 0.6457 0.5882 0.9514
O18 0.6885 0.1275 0.5097
O19 0.8516 0.2999 0.2732
O20 0.8896 0.8504 0.8322
O21 0.8940 0.8911 0.3892
O22 0.8966 0.7871 0.6429
O23 0.9001 0.8283 0.2000
O24 0.9346 0.3783 0.7581

Main lines, in order of rising 2θ (15° ≤ 2θ ≤ 90°):
- 2θ 20.28, I 70
- 2θ 20.76, I 20
- 2θ 22.37, I 26
- 2θ 22.55, I 48
- 2θ 30.69, I 16
- 2θ 34.02, I 100
- 2θ 34.24, I 26
- 2θ 34.66, I 21
- 2θ 40.32, I 19
- 2θ 40.57, I 14
- 2θ 41.07, I 24
- 2θ 61.88, I 15

Record 8
This entry pairs a crystal structure of Li2MnFeB2O6 with its simulated powder X-ray diffraction pattern. Radiation: Cu Kα (λ = 1.5418 Å). Structure: the PBE+U geometry in the Materials Project.

Unit cell a=5.1708 b=5.2409 c=11.0513 alpha=76.86 beta=78.86 gamma=60.68
Positions (direct):
Li1 0.0988 0.4664 0.1667
Li2 0.3918 0.0397 0.3404
Li3 0.6082 0.9603 0.6596
Li4 0.9012 0.5336 0.8333
Mn1 0.2241 0.8632 0.8833
Mn2 0.7759 0.1368 0.1167
Fe1 0.2806 0.6358 0.6165
Fe2 0.7194 0.3642 0.3835
B1 0.0557 0.7103 0.3726
B2 0.4396 0.7936 0.1336
B3 0.5604 0.2064 0.8664
B4 0.9443 0.2897 0.6274
O1 0.0826 0.4469 0.3536
O2 0.2034 0.0246 0.6542
O3 0.2103 0.7808 0.0888
O4 0.2930 0.7169 0.4131
O5 0.3024 0.4670 0.8374
O6 0.4026 0.0625 0.1517
O7 0.5974 0.9375 0.8483
O8 0.6976 0.5330 0.1626
O9 0.7070 0.2831 0.5869
O10 0.7897 0.2192 0.9112
O11 0.7966 0.9754 0.3458
O12 0.9174 0.5531 0.6464

Main lines, in order of rising 2θ (15° ≤ 2θ ≤ 90°):
- 2θ 20.38, I 80
- 2θ 20.71, I 22
- 2θ 22.20, I 33
- 2θ 22.53, I 59
- 2θ 33.46, I 100
- 2θ 34.12, I 33
- 2θ 34.23, I 24
- 2θ 34.74, I 29
- 2θ 38.06, I 23
- 2θ 40.19, I 25
- 2θ 40.91, I 33
- 2θ 61.97, I 21